Theoretical powder diffraction line list of InGaSe2 for Cu Kα, from DFT lattice parameters and positions (PBE).
Peak positions follow from Bragg's law for the DFT cell and can differ from measured ones.

Crystal structure
```
InGaSe2
1.0
-4.122 4.122 3.156
4.122 -4.122 3.156
4.122 4.122 -3.156
In Ga Se
2 2 4
Cartesian
0.000 0.000 0.000
0.000 0.000 3.156
4.122 0.000 2.202
0.000 4.122 2.202
5.452 1.330 0.618
1.330 2.792 0.618
2.792 1.330 3.775
-1.330 2.792 3.775
```

Most intense lines, 2θ from 15° to 90°, in order of falling intensity:
d [Å]  I/Imax
3.184  100
2.010  91
2.915  65
4.122  46
2.506  41
2.776  39
1.843  37
2.607  32
3.156  23
1.828  20